(1)
Simulated PXRD pattern of Er2LuIn3NiAg2 for Cu Kα, 1.54184 Å, from a DFT-relaxed cell (GGA-PBE, OQMD).

Largest 12 diffraction maxima, by angle, 10° ≤ 2θ ≤ 90°:
h k l, 2theta, I_rel
1 3 1, 33.1, 100
0 4 2, 35.4, 32
0 5 1, 35.5, 15
1 4 0, 35.8, 59
0 3 3, 40.3, 22
0 6 0, 40.5, 11
1 1 3, 43.0, 16
2 0 0, 48.1, 18
1 5 3, 55.1, 11
2 4 2, 61.1, 19
2 6 0, 64.5, 16
1 7 3, 65.6, 16

Structural model:
Cell lengths 3.7868, 13.3780, 7.7518 Å; angles 90.00, 90.00, 90.00 degrees
Space group Amm2 (No. 38)
Unique sites:
Er  0.0000  0.1989  0.0000 x4
Lu  0.0000  0.0000  0.5953 x2
In  0.5000  0.0000  0.9487 x2
In  0.5000  0.1252  0.3244 x4
Ni  0.0000  0.0000  0.2003 x2
Ag  0.5000  0.1652  0.6985 x4

(2)
Simulated PXRD pattern of Ag8GeSe6 for Cu Kα, 1.54184 Å, from a DFT-relaxed cell (GGA-PBE, OQMD).

Largest 12 diffraction maxima, by angle, 10° ≤ 2θ ≤ 90°:
h k l, 2theta, I_rel
0 2 1, 24.1, 32
2 0 2, 27.5, 100
0 2 2, 27.9, 57
0 1 4, 34.4, 52
2 1 3, 35.0, 30
0 3 1, 35.3, 39
2 2 3, 40.4, 32
2 3 0, 41.3, 39
2 3 1, 42.1, 49
0 3 3, 42.4, 47
4 0 0, 45.2, 32
2 2 4, 46.1, 67

Structural model:
Cell lengths 8.0288, 7.8327, 11.0615 Å; angles 90.00, 90.00, 90.00 degrees
Space group Pmn2_1 (No. 31)
Unique sites:
Ag  0.0000  0.1218  0.0000 x2
Ag  0.0000  0.2238  0.4373 x2
Ag  0.1984  0.0355  0.2247 x4
Ag  0.1976  0.6511  0.1145 x4
Ag  0.2064  0.6052  0.8203 x4
Ge  0.0000  0.7487  0.4747 x2
Se  0.0000  0.3122  0.2040 x2
Se  0.0000  0.5032  0.6057 x2
Se  0.0000  0.7863  0.9557 x2
Se  0.0000  0.9896  0.6060 x2
Se  0.2489  0.7493  0.3549 x4

(3)
Simulated PXRD pattern of BaCd2GaAu for Cu Kα, 1.54184 Å, from a DFT-relaxed cell (GGA-PBE, OQMD).

Largest 12 diffraction maxima, by angle, 10° ≤ 2θ ≤ 90°:
h k l, 2theta, I_rel
1 0 1, 20.3, 16
1 0 3, 29.6, 45
1 1 2, 30.8, 100
2 0 0, 38.2, 58
1 1 4, 40.9, 30
1 0 5, 42.8, 33
2 1 3, 49.1, 22
2 2 0, 55.2, 20
2 1 5, 58.7, 26
3 1 2, 64.5, 23
3 1 4, 70.9, 11
2 0 8, 76.1, 11

Structural model:
Cell lengths 4.7104, 4.7104, 11.8050 Å; angles 90.00, 90.00, 90.00 degrees
Space group I4mm (No. 107)
Unique sites:
Ba  0.0000  0.0000  0.0000 x2
Cd  0.0000  0.5000  0.2478 x4
Ga  0.0000  0.0000  0.6160 x2
Au  0.0000  0.0000  0.3954 x2

(4)
Simulated PXRD pattern of Si17Ge13PAu for Cu Kα, 1.54184 Å, from a DFT-relaxed cell (GGA-PBE, OQMD).

Largest 12 diffraction maxima, by angle, 10° ≤ 2θ ≤ 90°:
h k l, 2theta, I_rel
0 0 4, 11.2, 22
1 0 -8, 27.5, 34
1 0 8, 27.8, 100
1 1 4, 30.2, 10
2 1 -8, 45.9, 32
0 0 16, 45.9, 16
0 2 0, 46.3, 47
1 1 -16, 54.3, 10
3 1 0, 54.7, 19
1 2 8, 54.9, 10
0 2 16, 67.2, 15
2 3 -8, 85.5, 10

Structural model:
Cell lengths 5.5719, 3.9235, 31.6123 Å; angles 90.00, 90.78, 90.00 degrees
Space group Pm (No. 6)
Unique sites:
Si  0.0000  0.0000  0.0000 x1
Si  0.0011  0.0000  0.3773 x1
Si  0.0050  0.0000  0.8765 x1
Si  0.0057  0.0000  0.6281 x1
Si  0.0239  0.0000  0.1275 x1
Si  0.2414  0.5000  0.3761 x1
Si  0.2459  0.5000  0.6266 x1
Si  0.2479  0.5000  0.8754 x1
Si  0.2654  0.5000  0.1278 x1
Si  0.4785  0.5000  0.3155 x1
Si  0.4941  0.5000  0.5665 x1
Si  0.5047  0.5000  0.8162 x1
Si  0.7469  0.0000  0.8163 x1
Si  0.7556  0.0000  0.4373 x1
Si  0.7580  0.0000  0.6885 x1
Si  0.7605  0.0000  0.9377 x1
Si  0.9913  0.0000  0.2560 x1
Ge  0.2503  0.5000  0.0004 x1
Ge  0.2571  0.5000  0.5024 x1
Ge  0.2581  0.5000  0.7530 x1
Ge  0.5047  0.5000  0.0650 x1
Ge  0.5048  0.5000  0.4378 x1
Ge  0.5062  0.5000  0.6883 x1
Ge  0.5078  0.5000  0.9371 x1
Ge  0.7289  0.0000  0.3156 x1
Ge  0.7452  0.0000  0.5662 x1
Ge  0.7645  0.0000  0.1888 x1
Ge  0.7692  0.0000  0.0643 x1
Ge  0.9930  0.0000  0.7532 x1
Ge  0.9939  0.0000  0.5015 x1
P  0.5026  0.5000  0.1872 x1
Au  0.2402  0.5000  0.2492 x1

(5)
Simulated PXRD pattern of NdSiGe2Ir for Cu Kα, 1.54184 Å, from a DFT-relaxed cell (GGA-PBE, OQMD).

Largest 12 diffraction maxima, by angle, 10° ≤ 2θ ≤ 90°:
h k l, 2theta, I_rel
0 0 2, 17.8, 20
1 0 1, 22.1, 52
1 1 0, 28.7, 32
1 0 3, 33.8, 100
1 1 2, 34.0, 89
2 0 0, 41.1, 73
1 1 4, 46.7, 25
1 0 5, 50.2, 22
2 1 3, 54.2, 53
2 2 0, 59.5, 24
1 1 6, 63.4, 24
3 1 2, 70.3, 21

Structural model:
Cell lengths 4.3973, 4.3973, 9.9817 Å; angles 90.00, 90.00, 90.00 degrees
Space group I4mm (No. 107)
Unique sites:
Nd  0.0000  0.0000  0.0000 x2
Si  0.0000  0.0000  0.4183 x2
Ge  0.0000  0.5000  0.2657 x4
Ir  0.0000  0.0000  0.6505 x2

(6)
Simulated PXRD pattern of ZnSeO4 for Cu Kα, 1.54184 Å, from a DFT-relaxed cell (GGA-PBE, OQMD).

Largest 12 diffraction maxima, by angle, 10° ≤ 2θ ≤ 90°:
h k l, 2theta, I_rel
1 1 0, 23.5, 13
0 1 1, 26.0, 52
2 0 0, 29.8, 50
1 1 1, 30.1, 100
0 0 2, 37.4, 18
1 2 0, 39.9, 53
1 2 1, 44.3, 15
2 0 2, 48.6, 23
3 1 1, 53.1, 21
1 2 2, 55.9, 20
3 2 0, 59.8, 16
2 1 3, 69.2, 11

Structural model:
Cell lengths 5.9944, 4.8793, 4.8044 Å; angles 90.00, 90.00, 90.00 degrees
Space group Pmn2_1 (No. 31)
Unique sites:
Zn  0.0000  0.0732  0.0000 x2
Se  0.0000  0.6530  0.4442 x2
O  0.0000  0.3298  0.3463 x2
O  0.0000  0.6860  0.7868 x2
O  0.2156  0.8247  0.2957 x4

(7)
Simulated PXRD pattern of ZnH9C10N3O6 for Cu Kα, 1.54184 Å, from a DFT-relaxed cell (GGA-PBE, OQMD).

Largest 12 diffraction maxima, by angle, 10° ≤ 2θ ≤ 90°:
h k l, 2theta, I_rel
0 1 0, 13.8, 9
1 -1 0, 15.0, 100
1 -1 1, 17.6, 16
1 1 -2, 24.4, 20
-1 1 3, 25.6, 8
1 1 -3, 27.8, 9
0 1 3, 28.8, 10
0 2 -2, 29.0, 72
1 0 3, 30.6, 8
1 -3 2, 39.7, 8
-3 1 3, 40.4, 11
0 1 5, 43.3, 11

Structural model:
Cell lengths 7.0298, 7.1471, 12.4814 Å; angles 93.76, 105.05, 114.11 degrees
Space group P-1 (No. 2)
Unique sites:
Zn  0.1836  0.1950  0.4580 x2
H  0.0258  0.3454  0.0384 x2
H  0.0684  0.7670  0.4486 x2
H  0.0826  0.4950  0.3798 x2
H  0.2380  0.6463  0.8492 x2
H  0.2417  0.8973  0.5813 x2
H  0.2843  0.0398  0.7982 x2
H  0.2992  0.5398  0.2305 x2
H  0.3231  0.6058  0.4713 x2
H  0.4939  0.1562  0.9627 x2
C  0.1292  0.0399  0.7975 x2
C  0.1872  0.3478  0.0650 x2
C  0.2006  0.0003  0.2530 x2
C  0.2442  0.2408  0.9911 x2
C  0.2889  0.4210  0.6873 x2
C  0.3390  0.4564  0.1702 x2
C  0.4001  0.6499  0.8745 x2
C  0.4290  0.0823  0.3314 x2
C  0.4495  0.2396  0.0206 x2
C  0.4536  0.5411  0.7994 x2
N  0.0536  0.0449  0.2889 x2
N  0.0920  0.1326  0.8830 x2
N  0.1178  0.8903  0.1483 x2
O  0.0980  0.4144  0.6646 x2
O  0.1201  0.8880  0.5125 x2
O  0.2177  0.4782  0.4134 x2
O  0.3495  0.3269  0.6232 x2
O  0.4303  0.9551  0.6977 x2
O  0.4635  0.1906  0.4265 x2

(8)
Simulated PXRD pattern of BaAgAu for Cu Kα, 1.54184 Å, from a DFT-relaxed cell (GGA-PBE, OQMD).

Largest 12 diffraction maxima, by angle, 10° ≤ 2θ ≤ 90°:
h k l, 2theta, I_rel
0 2 0, 20.6, 14
1 2 1, 29.6, 100
1 0 3, 36.8, 42
2 0 0, 36.9, 21
0 4 0, 42.0, 14
1 2 3, 42.5, 9
0 2 4, 47.8, 9
2 2 2, 48.0, 17
2 4 0, 57.0, 35
2 2 4, 61.9, 16
1 6 1, 69.1, 9
3 4 3, 81.7, 8

Structural model:
Cell lengths 4.8702, 8.6141, 8.4764 Å; angles 90.00, 90.00, 90.00 degrees
Space group Imm2 (No. 44)
Unique sites:
Ba  0.0000  0.0000  0.0000 x2
Ba  0.0000  0.5000  0.0011 x2
Ag  0.0000  0.2508  0.6671 x4
Au  0.0000  0.2496  0.3347 x4